# Na2CoP2O7
Calculated powder XRD pattern, CuKα. Input: DFT lattice parameters and positions (PBE+U).
Kinematic intensities with the Lorentz-polarization factor, no thermal factor.

Atomic structure:
abc: 6.322 9.295 10.897
angles: 65.00 86.71 73.95
Space group P1 (No. 1)
Inequivalent atoms, fractional coordinates:
1 Na 0.000 0.000 0.000 x1
2 Na 0.032 0.335 0.061 x1
3 Na 0.194 0.028 0.635 x1
4 Na 0.245 0.670 0.587 x1
5 Na 0.411 0.704 0.214 x1
6 Na 0.584 0.368 0.141 x1
7 Na 0.626 0.995 0.452 x1
8 Na 0.796 0.709 0.766 x1
9 Co 0.501 0.954 0.891 x1
10 Co 0.589 0.346 0.847 x1
11 Co 0.857 0.350 0.375 x1
12 Co 0.942 0.741 0.332 x1
13 P 0.105 0.302 0.794 x1
14 P 0.145 0.032 0.318 x1
15 P 0.299 0.667 0.898 x1
16 P 0.338 0.395 0.430 x1
17 P 0.518 0.042 0.147 x1
18 P 0.650 0.142 0.657 x1
19 P 0.792 0.558 0.565 x1
20 P 0.933 0.653 0.073 x1
21 O 0.004 0.403 0.639 x1
22 O 0.012 0.731 0.152 x1
23 O 0.117 0.913 0.262 x1
24 O 0.155 0.559 0.018 x1
25 O 0.166 0.748 0.763 x1
26 O 0.182 0.302 0.420 x1
27 O 0.201 0.126 0.808 x1
28 O 0.238 0.572 0.413 x1
29 O 0.263 0.384 0.820 x1
30 O 0.266 0.949 0.457 x1
31 O 0.306 0.136 0.207 x1
32 O 0.328 0.787 0.953 x1
33 O 0.431 0.966 0.070 x1
34 O 0.448 0.304 0.583 x1
35 O 0.519 0.538 0.910 x1
36 O 0.525 0.386 0.335 x1
37 O 0.576 0.990 0.676 x1
38 O 0.601 0.533 0.654 x1
39 O 0.625 0.176 0.058 x1
40 O 0.656 0.914 0.277 x1
41 O 0.678 0.139 0.798 x1
42 O 0.767 0.557 0.425 x1
43 O 0.796 0.781 0.943 x1
44 O 0.832 0.514 0.158 x1
45 O 0.842 0.161 0.568 x1
46 O 0.857 0.714 0.544 x1
47 O 0.911 0.315 0.885 x1
48 O 0.930 0.169 0.297 x1

Top 10 peaks for 2θ = 10–90°, low angle first:
- hkl 0 1 1, 10.8 deg, I = 75.9
- hkl 1 0 1, 17.7 deg, I = 62.9
- hkl 0 0 2, 18.0 deg, I = 47.4
- hkl 1 -1 0, 20.6 deg, I = 49.1
- hkl 1 2 2, 23.3 deg, I = 74.5
- hkl 2 0 1, 31.5 deg, I = 68.7
- hkl 1 3 3, 32.8 deg, I = 100.0
- hkl 0 3 0, 33.2 deg, I = 72.1
- hkl 0 2 -2, 34.1 deg, I = 49.6
- hkl 2 2 -1, 34.9 deg, I = 62.3